Simulated PXRD pattern
Compound: Ca2MnReN4
Radiation: Cu Kα (λ = 1.5418 Å)
Structure: a DFT-relaxed cell (PBE, Alexandria)

Cell: 7.138 6.147 5.497 Å, 90.00 90.00 90.00°
Sites, in units of the cell vectors:
Ca  0.249  0.194  0.000
Ca  0.251  0.806  0.500
Ca  0.749  0.806  0.500
Ca  0.751  0.194  0.000
Mn  0.000  0.310  0.505
Mn  0.500  0.690  0.005
Re  0.000  0.668  0.020
Re  0.500  0.332  0.520
N  0.000  0.407  0.853
N  0.000  0.607  0.350
N  0.233  0.806  0.960
N  0.267  0.194  0.460
N  0.500  0.393  0.850
N  0.500  0.593  0.353
N  0.733  0.194  0.460
N  0.767  0.806  0.960

The 10 most intense peaks (15° ≤ 2θ ≤ 90°), in order of rising 2θ:
2θ (°), I (rel.), h k l
19.05, 34.5, 1 1 0
20.39, 42.0, 1 0 1
21.69, 48.3, 0 1 1
28.93, 32.5, 2 1 0
32.58, 44.3, 0 0 2
33.29, 100.0, 2 1 1
33.40, 36.1, 0 2 1
44.17, 32.2, 0 2 2
58.61, 32.9, 2 1 3
62.19, 28.6, 2 3 2